[1]
# Mn2HOsPt
Calculated PXRD pattern, λ = 1.5418 Å (Cu Kα). Input: a crystal structure in Alexandria, relaxed with GGA-PBE.
Lines closer than 0.1° are merged.

Atomic structure:
Cell: 3.8409 3.8409 3.7568 Å, 90.00 90.00 90.00°
Space group P4/mmm (No. 123)
Inequivalent atoms, fractional coordinates:
Mn: 0.0000 0.5000 0.0000 [2 per cell]
H: 0.0000 0.0000 0.0000 [1 per cell]
Os: 0.5000 0.5000 0.5000 [1 per cell]
Pt: 0.0000 0.0000 0.5000 [1 per cell]

Largest 12 diffraction maxima, by intensity, 10° ≤ 2θ ≤ 90°:
| Position (°2θ) | intensity | hkl |
| --- | --- | --- |
| 41.0 | 1000 | 1 1 1 |
| 47.3 | 333 | 2 0 0 |
| 23.7 | 295 | 0 0 1 |
| 33.0 | 268 | 1 1 0 |
| 83.7 | 253 | 3 1 1 |
| 70.1 | 203 | 2 0 2 |
| 48.5 | 155 | 0 0 2 |
| 53.6 | 144 | 2 0 1 |
| 85.4 | 121 | 1 1 3 |
| 88.9 | 112 | 2 2 2 |
| 59.9 | 106 | 1 1 2 |
| 69.2 | 106 | 2 2 0 |

=====

[2]
# Ta2MnHOs
Calculated PXRD pattern, λ = 1.5418 Å (Cu Kα). Input: a crystal structure in Alexandria, relaxed with GGA-PBE.
Lines closer than 0.1° are merged.

Atomic structure:
Cell: 4.3095 4.3095 3.4226 Å, 90.00 90.00 90.00°
Space group P4/mmm (No. 123)
Inequivalent atoms, fractional coordinates:
Ta: 0.0000 0.5000 0.0000 [2 per cell]
Mn: 0.0000 0.0000 0.5000 [1 per cell]
H: 0.0000 0.0000 0.0000 [1 per cell]
Os: 0.5000 0.5000 0.5000 [1 per cell]

Largest 12 diffraction maxima, by intensity, 10° ≤ 2θ ≤ 90°:
| Position (°2θ) | intensity | hkl |
| --- | --- | --- |
| 39.6 | 1000 | 1 1 1 |
| 41.9 | 430 | 2 0 0 |
| 75.0 | 309 | 3 1 1 |
| 70.2 | 186 | 2 0 2 |
| 60.8 | 144 | 2 2 0 |
| 20.6 | 116 | 1 0 0 |
| 85.3 | 113 | 2 2 2 |
| 53.6 | 105 | 0 0 2 |
| 33.4 | 76 | 1 0 1 |
| 54.7 | 40 | 2 1 1 |
| 29.3 | 39 | 1 1 0 |
| 47.2 | 29 | 2 1 0 |

=====

[3]
# MnPH2
Calculated PXRD pattern, λ = 1.5418 Å (Cu Kα). Input: a crystal structure in Alexandria, relaxed with GGA-PBE.
Lines closer than 0.1° are merged.

Atomic structure:
Cell: 2.8312 2.8312 7.4471 Å, 90.00 90.00 90.00°
Space group I4mm (No. 107)
Inequivalent atoms, fractional coordinates:
Mn: 0.0000 0.0000 0.0000 [2 per cell]
P: 0.0000 0.0000 0.6655 [2 per cell]
H: 0.0000 0.5000 0.3853 [4 per cell]

Largest 12 diffraction maxima, by intensity, 10° ≤ 2θ ≤ 90°:
| Position (°2θ) | intensity | hkl |
| --- | --- | --- |
| 48.8 | 1000 | 1 0 3 |
| 33.9 | 951 | 1 0 1 |
| 45.3 | 600 | 1 1 0 |
| 23.9 | 585 | 0 0 2 |
| 86.2 | 357 | 2 1 3 |
| 51.9 | 274 | 1 1 2 |
| 66.0 | 195 | 2 0 0 |
| 76.3 | 147 | 2 1 1 |
| 68.9 | 102 | 1 1 4 |
| 71.6 | 94 | 1 0 5 |
| 71.3 | 91 | 2 0 2 |
| 48.9 | 71 | 0 0 4 |

=====

[4]
# MnP2HS
Calculated PXRD pattern, λ = 1.5418 Å (Cu Kα). Input: a crystal structure in Alexandria, relaxed with GGA-PBE.
Lines closer than 0.1° are merged.

Atomic structure:
Cell: 3.4627 3.4627 7.0894 Å, 90.00 90.00 90.00°
Space group P4/mmm (No. 123)
Inequivalent atoms, fractional coordinates:
Mn: 0.0000 0.0000 0.0000 [1 per cell]
P: 0.0000 0.5000 0.5000 [2 per cell]
H: 0.5000 0.5000 0.5000 [1 per cell]
S: 0.5000 0.5000 0.0000 [1 per cell]

Largest 12 diffraction maxima, by intensity, 10° ≤ 2θ ≤ 90°:
| Position (°2θ) | intensity | hkl |
| --- | --- | --- |
| 38.9 | 1000 | 1 1 1 |
| 25.1 | 923 | 0 0 2 |
| 53.9 | 358 | 1 1 3 |
| 59.4 | 269 | 2 0 2 |
| 52.9 | 196 | 2 0 0 |
| 77.0 | 123 | 2 0 4 |
| 77.8 | 118 | 1 1 5 |
| 12.5 | 110 | 0 0 1 |
| 51.6 | 106 | 0 0 4 |
| 83.5 | 101 | 2 2 2 |
| 28.7 | 63 | 1 0 1 |
| 78.1 | 59 | 2 2 0 |